# 1
This entry pairs a crystal structure of LiTeP with its computed XRD peak list. Radiation: Cu Kα (λ = 1.5418 Å). Structure: a PBE-relaxed structure.

Largest 10 diffraction maxima, sorted by position, 15 to 90 degrees two-theta:
4.684 Å, 2θ = 18.95°, rel. 100; 3.584 Å, 2θ = 24.84°, rel. 87; 2.743 Å, 2θ = 32.64°, rel. 63; 2.433 Å, 2θ = 36.95°, rel. 52; 2.367 Å, 2θ = 38.01°, rel. 65; 1.940 Å, 2θ = 46.84°, rel. 22; 1.792 Å, 2θ = 50.96°, rel. 28; 1.781 Å, 2θ = 51.29°, rel. 23; 1.706 Å, 2θ = 53.73°, rel. 22; 1.517 Å, 2θ = 61.11°, rel. 24

Atomic structure:
```
data_LiTeP
_chemical_formula_sum 'Li1 Te1 P1'
_space_group_name_H-M_alt 'P 1'
_space_group_IT_number 1
_cell_length_a 5.428
_cell_length_b 5.428
_cell_length_c 5.428
_cell_angle_alpha 138.13
_cell_angle_beta 138.13
_cell_angle_gamma 60.71
loop_
_space_group_symop_operation_xyz
'x,y,z'
loop_
_atom_site_label
_atom_site_fract_x
_atom_site_fract_y
_atom_site_fract_z
Li1 0.000 0.000 0.000
Te1 0.706 0.706 0.000
P1 0.270 0.270 0.000
```

***

# 2
This entry pairs a crystal structure of LiTeP with its computed XRD peak list. Radiation: Cu Kα (λ = 1.5418 Å). Structure: a PBE-relaxed structure.

Largest 10 diffraction maxima, sorted by position, 15 to 90 degrees two-theta:
5.617 Å, 2θ = 15.78°, rel. 54; 3.910 Å, 2θ = 22.74°, rel. 100; 2.906 Å, 2θ = 30.77°, rel. 46; 2.808 Å, 2θ = 31.87°, rel. 28; 2.786 Å, 2θ = 32.12°, rel. 32; 2.440 Å, 2θ = 36.84°, rel. 42; 2.345 Å, 2θ = 38.38°, rel. 20; 2.238 Å, 2θ = 40.30°, rel. 22; 1.842 Å, 2θ = 49.49°, rel. 32; 1.694 Å, 2θ = 54.13°, rel. 18

Atomic structure:
```
data_LiTeP
_chemical_formula_sum 'Li1 Te1 P1'
_space_group_name_H-M_alt 'P 1'
_space_group_IT_number 1
_cell_length_a 6.177
_cell_length_b 6.177
_cell_length_c 6.177
_cell_angle_alpha 151.81
_cell_angle_beta 140.54
_cell_angle_gamma 49.19
loop_
_space_group_symop_operation_xyz
'x,y,z'
loop_
_atom_site_label
_atom_site_fract_x
_atom_site_fract_y
_atom_site_fract_z
Li1 0.000 0.000 0.000
Te1 0.302 0.302 0.000
P1 0.524 0.524 0.000
```

***

# 3
This entry pairs a crystal structure of Li8TeP2 with its computed XRD peak list. Radiation: Cu Kα (λ = 1.5418 Å). Structure: a PBE-relaxed structure.

Largest 10 diffraction maxima, sorted by position, 15 to 90 degrees two-theta:
5.662 Å, 2θ = 15.65°, rel. 87; 4.026 Å, 2θ = 22.08°, rel. 36; 3.555 Å, 2θ = 25.05°, rel. 100; 3.516 Å, 2θ = 25.33°, rel. 98; 3.150 Å, 2θ = 28.34°, rel. 34; 3.088 Å, 2θ = 28.91°, rel. 41; 3.020 Å, 2θ = 29.58°, rel. 57; 2.379 Å, 2θ = 37.82°, rel. 31; 2.180 Å, 2θ = 41.42°, rel. 81; 1.820 Å, 2θ = 50.13°, rel. 28

Atomic structure:
```
data_Li8TeP2
_chemical_formula_sum 'Li8 Te1 P2'
_space_group_name_H-M_alt 'P 1'
_space_group_IT_number 1
_cell_length_a 7.493
_cell_length_b 7.493
_cell_length_c 7.493
_cell_angle_alpha 147.16
_cell_angle_beta 60.87
_cell_angle_gamma 130.29
loop_
_space_group_symop_operation_xyz
'x,y,z'
loop_
_atom_site_label
_atom_site_fract_x
_atom_site_fract_y
_atom_site_fract_z
Li1 0.000 0.000 0.000
Li2 0.142 0.474 0.668
Li3 0.250 0.918 0.333
Li4 0.392 0.392 0.000
Li5 0.527 0.697 0.829
Li6 0.585 0.918 0.667
Li7 0.807 0.474 0.332
Li8 0.868 0.697 0.171
Te1 0.696 0.196 0.500
P1 0.017 0.196 0.821
P2 0.375 0.196 0.179
```

***

# 4
This entry pairs a crystal structure of Li4ThP2 with its computed XRD peak list. Radiation: Cu Kα (λ = 1.5418 Å). Structure: a PBE-relaxed structure.

Largest 10 diffraction maxima, sorted by position, 15 to 90 degrees two-theta:
5.399 Å, 2θ = 16.42°, rel. 100; 3.817 Å, 2θ = 23.30°, rel. 25; 3.529 Å, 2θ = 25.24°, rel. 65; 2.699 Å, 2θ = 33.19°, rel. 28; 2.591 Å, 2θ = 34.61°, rel. 82; 2.414 Å, 2θ = 37.24°, rel. 29; 2.144 Å, 2θ = 42.15°, rel. 26; 1.868 Å, 2θ = 48.74°, rel. 32; 1.426 Å, 2θ = 65.47°, rel. 19; 1.335 Å, 2θ = 70.53°, rel. 19

Atomic structure:
```
data_Li4ThP2
_chemical_formula_sum 'Li8 Th2 P4'
_space_group_name_H-M_alt 'P 1'
_space_group_IT_number 1
_cell_length_a 7.635
_cell_length_b 7.635
_cell_length_c 3.980
_cell_angle_alpha 90.00
_cell_angle_beta 90.00
_cell_angle_gamma 90.00
loop_
_space_group_symop_operation_xyz
'x,y,z'
loop_
_atom_site_label
_atom_site_fract_x
_atom_site_fract_y
_atom_site_fract_z
Li1 0.094 0.332 0.000
Li2 0.168 0.594 0.500
Li3 0.332 0.094 0.000
Li4 0.406 0.832 0.500
Li5 0.594 0.168 0.500
Li6 0.668 0.906 0.000
Li7 0.832 0.406 0.500
Li8 0.906 0.668 0.000
Th1 0.000 0.000 0.500
Th2 0.500 0.500 0.000
P1 0.213 0.787 0.000
P2 0.287 0.287 0.500
P3 0.713 0.713 0.500
P4 0.787 0.213 0.000
```

***

# 5
This entry pairs a crystal structure of LiThP2 with its computed XRD peak list. Radiation: Cu Kα (λ = 1.5418 Å). Structure: a PBE-relaxed structure.

Largest 10 diffraction maxima, sorted by position, 15 to 90 degrees two-theta:
5.042 Å, 2θ = 17.59°, rel. 48; 3.652 Å, 2θ = 24.37°, rel. 100; 3.094 Å, 2θ = 28.86°, rel. 26; 2.770 Å, 2θ = 32.31°, rel. 33; 2.551 Å, 2θ = 35.18°, rel. 36; 2.428 Å, 2θ = 37.02°, rel. 61; 2.120 Å, 2θ = 42.65°, rel. 24; 1.959 Å, 2θ = 46.35°, rel. 21; 1.726 Å, 2θ = 53.05°, rel. 26; 1.554 Å, 2θ = 59.49°, rel. 16

Atomic structure:
```
data_LiThP2
_chemical_formula_sum 'Li2 Th2 P4'
_space_group_name_H-M_alt 'P 1'
_space_group_IT_number 1
_cell_length_a 3.918
_cell_length_b 3.918
_cell_length_c 10.083
_cell_angle_alpha 90.00
_cell_angle_beta 90.00
_cell_angle_gamma 90.00
loop_
_space_group_symop_operation_xyz
'x,y,z'
loop_
_atom_site_label
_atom_site_fract_x
_atom_site_fract_y
_atom_site_fract_z
Li1 0.250 0.750 0.000
Li2 0.750 0.250 0.000
Th1 0.250 0.250 0.284
Th2 0.750 0.750 0.716
P1 0.250 0.250 0.837
P2 0.250 0.750 0.500
P3 0.750 0.250 0.500
P4 0.750 0.750 0.163
```

***

# 6
This entry pairs a crystal structure of Li11TiP5 with its computed XRD peak list. Radiation: Cu Kα (λ = 1.5418 Å). Structure: a PBE-relaxed structure.

Largest 10 diffraction maxima, sorted by position, 15 to 90 degrees two-theta:
3.445 Å, 2θ = 25.86°, rel. 88; 3.407 Å, 2θ = 26.16°, rel. 89; 2.945 Å, 2θ = 30.35°, rel. 14; 2.105 Å, 2θ = 42.96°, rel. 100; 2.100 Å, 2θ = 43.07°, rel. 23; 2.066 Å, 2θ = 43.82°, rel. 28; 1.788 Å, 2θ = 51.09°, rel. 28; 1.772 Å, 2θ = 51.59°, rel. 22; 1.473 Å, 2θ = 63.13°, rel. 14; 1.200 Å, 2θ = 79.93°, rel. 16

Atomic structure:
```
data_Li11TiP5
_chemical_formula_sum 'Li11 Ti1 P5'
_space_group_name_H-M_alt 'P 1'
_space_group_IT_number 1
_cell_length_a 7.280
_cell_length_b 7.280
_cell_length_c 10.338
_cell_angle_alpha 117.54
_cell_angle_beta 117.54
_cell_angle_gamma 32.97
loop_
_space_group_symop_operation_xyz
'x,y,z'
loop_
_atom_site_label
_atom_site_fract_x
_atom_site_fract_y
_atom_site_fract_z
Li1 0.000 0.000 0.000
Li2 0.000 0.000 0.495
Li3 0.175 0.175 0.794
Li4 0.176 0.176 0.284
Li5 0.221 0.221 0.587
Li6 0.394 0.394 0.075
Li7 0.397 0.397 0.537
Li8 0.575 0.575 0.382
Li9 0.587 0.587 0.881
Li10 0.792 0.792 0.816
Li11 0.922 0.922 0.706
Ti1 0.795 0.795 0.196
P1 0.204 0.204 0.060
P2 0.395 0.395 0.831
P3 0.598 0.598 0.641
P4 0.786 0.786 0.420
P5 0.975 0.975 0.234
```

***

# 7
This entry pairs a crystal structure of Li2TlP with its computed XRD peak list. Radiation: Cu Kα (λ = 1.5418 Å). Structure: a PBE-relaxed structure.

Largest 10 diffraction maxima, sorted by position, 15 to 90 degrees two-theta:
3.933 Å, 2θ = 22.61°, rel. 100; 3.578 Å, 2θ = 24.88°, rel. 46; 3.142 Å, 2θ = 28.41°, rel. 94; 2.866 Å, 2θ = 31.20°, rel. 52; 2.662 Å, 2θ = 33.66°, rel. 73; 2.653 Å, 2θ = 33.79°, rel. 42; 2.558 Å, 2θ = 35.09°, rel. 76; 2.298 Å, 2θ = 39.20°, rel. 27; 2.177 Å, 2θ = 41.48°, rel. 27; 1.967 Å, 2θ = 46.16°, rel. 54

Atomic structure:
```
data_Li2TlP
_chemical_formula_sum 'Li2 Tl1 P1'
_space_group_name_H-M_alt 'P 1'
_space_group_IT_number 1
_cell_length_a 4.263
_cell_length_b 4.263
_cell_length_c 6.359
_cell_angle_alpha 97.83
_cell_angle_beta 97.83
_cell_angle_gamma 42.32
loop_
_space_group_symop_operation_xyz
'x,y,z'
loop_
_atom_site_label
_atom_site_fract_x
_atom_site_fract_y
_atom_site_fract_z
Li1 0.232 0.232 0.169
Li2 0.768 0.768 0.831
Tl1 0.000 0.000 0.500
P1 0.500 0.500 0.000
```

***

# 8
This entry pairs a crystal structure of Li6P4W with its computed XRD peak list. Radiation: Cu Kα (λ = 1.5418 Å). Structure: a PBE-relaxed structure.

Largest 10 diffraction maxima, sorted by position, 15 to 90 degrees two-theta:
5.685 Å, 2θ = 15.59°, rel. 57; 4.850 Å, 2θ = 18.29°, rel. 100; 4.020 Å, 2θ = 22.11°, rel. 24; 3.353 Å, 2θ = 26.58°, rel. 16; 3.095 Å, 2θ = 28.85°, rel. 48; 2.681 Å, 2θ = 33.42°, rel. 17; 2.452 Å, 2θ = 36.65°, rel. 19; 2.076 Å, 2θ = 43.59°, rel. 27; 1.857 Å, 2θ = 49.06°, rel. 15; 1.766 Å, 2θ = 51.78°, rel. 17

Atomic structure:
```
data_Li6P4W
_chemical_formula_sum 'Li12 P8 W2'
_space_group_name_H-M_alt 'P 1'
_space_group_IT_number 1
_cell_length_a 8.040
_cell_length_b 8.040
_cell_length_c 6.081
_cell_angle_alpha 90.00
_cell_angle_beta 90.00
_cell_angle_gamma 90.00
loop_
_space_group_symop_operation_xyz
'x,y,z'
loop_
_atom_site_label
_atom_site_fract_x
_atom_site_fract_y
_atom_site_fract_z
Li1 0.024 0.524 0.250
Li2 0.024 0.976 0.250
Li3 0.250 0.250 0.190
Li4 0.250 0.250 0.690
Li5 0.476 0.524 0.250
Li6 0.476 0.976 0.250
Li7 0.524 0.024 0.750
Li8 0.524 0.476 0.750
Li9 0.750 0.750 0.310
Li10 0.750 0.750 0.810
Li11 0.976 0.024 0.750
Li12 0.976 0.476 0.750
P1 0.008 0.750 0.545
P2 0.250 0.508 0.955
P3 0.250 0.992 0.955
P4 0.492 0.750 0.545
P5 0.508 0.250 0.455
P6 0.750 0.008 0.045
P7 0.750 0.492 0.045
P8 0.992 0.250 0.455
W1 0.250 0.750 0.750
W2 0.750 0.250 0.250
```

***

# 9
This entry pairs a crystal structure of LiZr3P4 with its computed XRD peak list. Radiation: Cu Kα (λ = 1.5418 Å). Structure: a PBE-relaxed structure.

Largest 10 diffraction maxima, sorted by position, 15 to 90 degrees two-theta:
4.732 Å, 2θ = 18.75°, rel. 14; 3.058 Å, 2θ = 29.21°, rel. 23; 3.044 Å, 2θ = 29.34°, rel. 8; 2.645 Å, 2θ = 33.89°, rel. 100; 1.874 Å, 2θ = 48.59°, rel. 34; 1.867 Å, 2θ = 48.77°, rel. 34; 1.529 Å, 2θ = 60.56°, rel. 17; 1.323 Å, 2θ = 71.31°, rel. 11; 1.185 Å, 2θ = 81.20°, rel. 15; 1.181 Å, 2θ = 81.47°, rel. 15

Atomic structure:
```
data_LiZr3P4
_chemical_formula_sum 'Li2 Zr6 P8'
_space_group_name_H-M_alt 'P 1'
_space_group_IT_number 1
_cell_length_a 6.495
_cell_length_b 7.489
_cell_length_c 6.460
_cell_angle_alpha 90.00
_cell_angle_beta 109.53
_cell_angle_gamma 90.00
loop_
_space_group_symop_operation_xyz
'x,y,z'
loop_
_atom_site_label
_atom_site_fract_x
_atom_site_fract_y
_atom_site_fract_z
Li1 0.000 0.115 0.250
Li2 0.000 0.885 0.750
Zr1 0.000 0.373 0.750
Zr2 0.000 0.627 0.250
Zr3 0.500 0.121 0.750
Zr4 0.500 0.374 0.250
Zr5 0.500 0.626 0.750
Zr6 0.500 0.879 0.250
P1 0.247 0.371 0.497
P2 0.247 0.629 0.997
P3 0.249 0.125 0.001
P4 0.249 0.875 0.501
P5 0.751 0.125 0.499
P6 0.751 0.875 0.999
P7 0.753 0.371 0.003
P8 0.753 0.629 0.503
```

***

# 10
This entry pairs a crystal structure of Li6Pa with its computed XRD peak list. Radiation: Cu Kα (λ = 1.5418 Å). Structure: a PBE-relaxed structure.

Largest 10 diffraction maxima, sorted by position, 15 to 90 degrees two-theta:
4.748 Å, 2θ = 18.69°, rel. 100; 3.358 Å, 2θ = 26.55°, rel. 27; 2.741 Å, 2θ = 32.67°, rel. 63; 2.374 Å, 2θ = 37.90°, rel. 18; 2.123 Å, 2θ = 42.57°, rel. 26; 1.795 Å, 2θ = 50.88°, rel. 37; 1.583 Å, 2θ = 58.30°, rel. 16; 1.502 Å, 2θ = 61.78°, rel. 10; 1.317 Å, 2θ = 71.66°, rel. 17; 1.226 Å, 2θ = 77.92°, rel. 11

Atomic structure:
```
data_Li6Pa
_chemical_formula_sum 'Li6 Pa1'
_space_group_name_H-M_alt 'P 1'
_space_group_IT_number 1
_cell_length_a 5.815
_cell_length_b 5.815
_cell_length_c 5.815
_cell_angle_alpha 109.47
_cell_angle_beta 109.47
_cell_angle_gamma 109.47
loop_
_space_group_symop_operation_xyz
'x,y,z'
loop_
_atom_site_label
_atom_site_fract_x
_atom_site_fract_y
_atom_site_fract_z
Li1 0.250 0.500 0.750
Li2 0.250 0.750 0.500
Li3 0.500 0.250 0.750
Li4 0.500 0.750 0.250
Li5 0.750 0.250 0.500
Li6 0.750 0.500 0.250
Pa1 0.000 0.000 0.000
```

***

# 11
This entry pairs a crystal structure of Li2PaPd4 with its computed XRD peak list. Radiation: Cu Kα (λ = 1.5418 Å). Structure: a PBE-relaxed structure.

Largest 10 diffraction maxima, sorted by position, 15 to 90 degrees two-theta:
5.832 Å, 2θ = 15.19°, rel. 52; 3.487 Å, 2θ = 25.54°, rel. 63; 2.558 Å, 2θ = 35.08°, rel. 76; 2.307 Å, 2θ = 39.04°, rel. 31; 2.255 Å, 2θ = 39.98°, rel. 53; 2.205 Å, 2θ = 40.93°, rel. 100; 2.173 Å, 2θ = 41.56°, rel. 36; 2.159 Å, 2θ = 41.85°, rel. 49; 2.089 Å, 2θ = 43.31°, rel. 27; 1.423 Å, 2θ = 65.59°, rel. 34

Atomic structure:
```
data_Li2PaPd4
_chemical_formula_sum 'Li4 Pa2 Pd8'
_space_group_name_H-M_alt 'P 1'
_space_group_IT_number 1
_cell_length_a 7.545
_cell_length_b 7.545
_cell_length_c 7.545
_cell_angle_alpha 135.67
_cell_angle_beta 70.73
_cell_angle_gamma 127.93
loop_
_space_group_symop_operation_xyz
'x,y,z'
loop_
_atom_site_label
_atom_site_fract_x
_atom_site_fract_y
_atom_site_fract_z
Li1 0.003 0.250 0.253
Li2 0.110 0.044 0.566
Li3 0.478 0.544 0.434
Li4 0.997 0.750 0.747
Pa1 0.463 0.850 0.114
Pa2 0.736 0.350 0.886
Pd1 0.162 0.493 0.684
Pd2 0.162 0.978 0.169
Pd3 0.329 0.329 0.000
Pd4 0.329 0.829 0.500
Pd5 0.540 0.397 0.642
Pd6 0.755 0.897 0.358
Pd7 0.809 0.478 0.316
Pd8 0.809 0.993 0.831
```

***

# 12
This entry pairs a crystal structure of LiPaPd4 with its computed XRD peak list. Radiation: Cu Kα (λ = 1.5418 Å). Structure: a PBE-relaxed structure.

Largest 10 diffraction maxima, sorted by position, 15 to 90 degrees two-theta:
3.786 Å, 2θ = 23.50°, rel. 30; 2.856 Å, 2θ = 31.32°, rel. 35; 2.565 Å, 2θ = 34.98°, rel. 48; 2.451 Å, 2θ = 36.67°, rel. 29; 2.368 Å, 2θ = 37.99°, rel. 38; 2.343 Å, 2θ = 38.43°, rel. 100; 2.191 Å, 2θ = 41.20°, rel. 34; 2.046 Å, 2θ = 44.28°, rel. 23; 2.005 Å, 2θ = 45.23°, rel. 23; 1.998 Å, 2θ = 45.40°, rel. 23

Atomic structure:
```
data_LiPaPd4
_chemical_formula_sum 'Li2 Pa2 Pd8'
_space_group_name_H-M_alt 'P 1'
_space_group_IT_number 1
_cell_length_a 5.136
_cell_length_b 5.610
_cell_length_c 7.114
_cell_angle_alpha 90.17
_cell_angle_beta 92.79
_cell_angle_gamma 90.11
loop_
_space_group_symop_operation_xyz
'x,y,z'
loop_
_atom_site_label
_atom_site_fract_x
_atom_site_fract_y
_atom_site_fract_z
Li1 0.072 0.250 0.469
Li2 0.928 0.750 0.531
Pa1 0.249 0.751 0.128
Pa2 0.751 0.249 0.872
Pd1 0.237 0.501 0.779
Pd2 0.237 0.999 0.779
Pd3 0.256 0.251 0.131
Pd4 0.432 0.749 0.478
Pd5 0.568 0.251 0.522
Pd6 0.744 0.749 0.869
Pd7 0.763 0.001 0.221
Pd8 0.763 0.499 0.221
```

***

# 13
This entry pairs a crystal structure of LiPm2PaSe6 with its computed XRD peak list. Radiation: Cu Kα (λ = 1.5418 Å). Structure: a PBE-relaxed structure.

Largest 10 diffraction maxima, sorted by position, 15 to 90 degrees two-theta:
4.721 Å, 2θ = 18.80°, rel. 41; 3.881 Å, 2θ = 22.91°, rel. 100; 3.409 Å, 2θ = 26.14°, rel. 30; 3.023 Å, 2θ = 29.55°, rel. 46; 2.707 Å, 2θ = 33.09°, rel. 57; 2.411 Å, 2θ = 37.30°, rel. 87; 2.361 Å, 2θ = 38.12°, rel. 71; 2.048 Å, 2θ = 44.23°, rel. 36; 1.800 Å, 2θ = 50.71°, rel. 33; 1.705 Å, 2θ = 53.78°, rel. 30

Atomic structure:
```
data_LiPm2PaSe6
_chemical_formula_sum 'Li1 Pm2 Pa1 Se6'
_space_group_name_H-M_alt 'P 1'
_space_group_IT_number 1
_cell_length_a 6.818
_cell_length_b 6.818
_cell_length_c 6.543
_cell_angle_alpha 90.00
_cell_angle_beta 90.00
_cell_angle_gamma 90.00
loop_
_space_group_symop_operation_xyz
'x,y,z'
loop_
_atom_site_label
_atom_site_fract_x
_atom_site_fract_y
_atom_site_fract_z
Li1 0.000 0.000 0.000
Pm1 0.000 0.500 0.453
Pm2 0.500 0.000 0.453
Pa1 0.500 0.500 0.059
Se1 0.000 0.000 0.627
Se2 0.239 0.239 0.197
Se3 0.239 0.761 0.197
Se4 0.500 0.500 0.632
Se5 0.761 0.239 0.197
Se6 0.761 0.761 0.197
```